1.
Theoretical XRD peak list of Tb7Dy2Sc2 for λ = 1.5418 Å (Cu Kα), from DFT lattice parameters and positions (GGA-PBE).
Peak positions follow from Bragg's law for the DFT cell and can differ from measured ones.

Cell and atoms:
```
data_Tb7Dy2Sc2
_symmetry_space_group_name_H-M 'I m m m'
_symmetry_Int_Tables_number 71
_symmetry_space_group_name_Hall '-I 2 2'
_cell_length_a 5.3837
_cell_length_b 8.1720
_cell_length_c 15.5432
_cell_angle_alpha 90.00
_cell_angle_beta 90.00
_cell_angle_gamma 90.00
loop_
_atom_site_label
_atom_site_fract_x
_atom_site_fract_y
_atom_site_fract_z
Tb1 0.0000 0.0000 0.0000
Tb2 0.0000 0.2957 0.1416
Tb3 0.0000 0.5000 0.3366
Dy1 0.0000 0.2006 0.5000
Sc1 0.0000 0.0000 0.2997
```

Peak list (10 most intense, 2θ from 5° to 70°, sorted by position)
22.9°, rel. 22.0, hkl 1 1 2
30.4°, rel. 28.7, hkl 1 1 4
32.5°, rel. 100.0, hkl 1 2 3
33.3°, rel. 41.5, hkl 2 0 0
33.4°, rel. 20.7, hkl 0 3 1
34.6°, rel. 18.2, hkl 0 0 6
47.9°, rel. 15.2, hkl 2 3 1
48.8°, rel. 13.9, hkl 2 0 6
59.0°, rel. 18.9, hkl 3 2 3
64.2°, rel. 15.1, hkl 1 5 4

2.
Theoretical XRD peak list of YHo4Os2 for λ = 1.5418 Å (Cu Kα), from DFT lattice parameters and positions (GGA-PBE).
Peak positions follow from Bragg's law for the DFT cell and can differ from measured ones.

Cell and atoms:
```
data_YHo4Os2
_symmetry_space_group_name_H-M 'P 1 21/m 1'
_symmetry_Int_Tables_number 11
_symmetry_space_group_name_Hall '-P 2yb'
_cell_length_a 7.7708
_cell_length_b 6.2617
_cell_length_c 7.9125
_cell_angle_alpha 90.00
_cell_angle_beta 112.19
_cell_angle_gamma 90.00
loop_
_atom_site_label
_atom_site_fract_x
_atom_site_fract_y
_atom_site_fract_z
Y1 0.0251 0.2500 0.1595
Ho1 0.2399 0.5013 0.5809
Ho2 0.3262 0.7500 0.2512
Ho3 0.3794 0.2500 0.0202
Os1 0.0255 0.2500 0.7438
Os2 0.4149 0.2500 0.3764
```

Peak list (10 most intense, 2θ from 5° to 70°, sorted by position)
12.1°, rel. 78.6, hkl 0 0 1
31.0°, rel. 100.0, hkl 2 1 -2
31.6°, rel. 63.5, hkl 2 0 1
31.7°, rel. 64.2, hkl 1 2 -1
34.0°, rel. 57.0, hkl 1 0 -3
36.2°, rel. 57.3, hkl 3 0 -2
36.8°, rel. 93.5, hkl 1 2 -2
37.0°, rel. 89.5, hkl 2 2 -1
38.1°, rel. 76.8, hkl 2 2 0
39.6°, rel. 61.7, hkl 0 1 3

Repeat the second record exactly.
Theoretical XRD peak list of YHo4Os2 for λ = 1.5418 Å (Cu Kα), from DFT lattice parameters and positions (GGA-PBE).
Peak positions follow from Bragg's law for the DFT cell and can differ from measured ones.

Cell and atoms:
```
data_YHo4Os2
_symmetry_space_group_name_H-M 'P 1 21/m 1'
_symmetry_Int_Tables_number 11
_symmetry_space_group_name_Hall '-P 2yb'
_cell_length_a 7.7708
_cell_length_b 6.2617
_cell_length_c 7.9125
_cell_angle_alpha 90.00
_cell_angle_beta 112.19
_cell_angle_gamma 90.00
loop_
_atom_site_label
_atom_site_fract_x
_atom_site_fract_y
_atom_site_fract_z
Y1 0.0251 0.2500 0.1595
Ho1 0.2399 0.5013 0.5809
Ho2 0.3262 0.7500 0.2512
Ho3 0.3794 0.2500 0.0202
Os1 0.0255 0.2500 0.7438
Os2 0.4149 0.2500 0.3764
```

Peak list (10 most intense, 2θ from 5° to 70°, sorted by position)
12.1°, rel. 78.6, hkl 0 0 1
31.0°, rel. 100.0, hkl 2 1 -2
31.6°, rel. 63.5, hkl 2 0 1
31.7°, rel. 64.2, hkl 1 2 -1
34.0°, rel. 57.0, hkl 1 0 -3
36.2°, rel. 57.3, hkl 3 0 -2
36.8°, rel. 93.5, hkl 1 2 -2
37.0°, rel. 89.5, hkl 2 2 -1
38.1°, rel. 76.8, hkl 2 2 0
39.6°, rel. 61.7, hkl 0 1 3